Entry 1:
Structure and theoretical powder diffractogram of SbRh3 (DFT lattice parameters and positions (PBE); Cu Kα (λ = 1.5418 Å)).
Kinematic intensities with the Lorentz-polarization factor, no thermal factor.

The 5 most intense peaks (10 to 90 degrees two-theta), by angle:
h k l  Position (°2θ)  intensity
1 1 1  39.3  1000
2 0 0  45.7  484
2 2 0  66.6  307
3 1 1  80.2  362
2 2 2  84.6  106

Atomic structure:
```
data_SbRh3
_chemical_formula_sum 'Sb1 Rh3'
_cell_length_a 3.9697
_cell_length_b 3.9697
_cell_length_c 3.9697
_cell_angle_alpha 90.00
_cell_angle_beta 90.00
_cell_angle_gamma 90.00
_symmetry_space_group_name_H-M 'P m -3 m'
_symmetry_Int_Tables_number 221
_symmetry_space_group_name_Hall '-P 4 2 3'
loop_
_atom_site_label
_atom_site_type_symbol
_atom_site_fract_x
_atom_site_fract_y
_atom_site_fract_z
Sb1 Sb 0.0000 0.0000 0.0000
Rh1 Rh 0.0000 0.5000 0.5000
```

Entry 2:
Structure and theoretical powder diffractogram of Nd2Ga9Co3 (DFT lattice parameters and positions (PBE); Cu Kα (λ = 1.5418 Å)).
Kinematic intensities with the Lorentz-polarization factor, no thermal factor.

The 12 most intense peaks (10 to 90 degrees two-theta), by angle:
h k l  Position (°2θ)  intensity
3 1 1  25.7  99
4 0 2  33.6  93
3 1 3  37.2  1000
0 0 4  37.7  169
4 2 1  38.1  164
3 3 0  41.9  465
6 0 0  42.1  229
4 2 3  46.9  106
6 2 3  57.4  101
3 5 3  73.4  109
6 4 3  73.5  108
9 1 3  73.7  107

Atomic structure:
```
data_Nd2Ga9Co3
_chemical_formula_sum 'Nd8 Ga36 Co12'
_cell_length_a 12.8818
_cell_length_b 7.4722
_cell_length_c 9.5376
_cell_angle_alpha 90.00
_cell_angle_beta 90.00
_cell_angle_gamma 90.00
_symmetry_space_group_name_H-M 'C m c m'
_symmetry_Int_Tables_number 63
_symmetry_space_group_name_Hall '-C 2c 2'
loop_
_atom_site_label
_atom_site_type_symbol
_atom_site_fract_x
_atom_site_fract_y
_atom_site_fract_z
Nd1 Nd 0.1642 0.1676 0.2500
Ga1 Ga 0.0000 0.1232 0.7500
Ga2 Ga 0.0000 0.3361 0.0557
Ga3 Ga 0.1063 0.4415 0.7500
Ga4 Ga 0.1662 0.1679 0.5715
Co1 Co 0.0000 0.0000 0.0000
Co2 Co 0.1710 0.5000 0.0000
```

Entry 3:
Structure and theoretical powder diffractogram of Ti5Te4 (DFT lattice parameters and positions (PBE); Cu Kα (λ = 1.5418 Å)).
Kinematic intensities with the Lorentz-polarization factor, no thermal factor.

The 12 most intense peaks (10 to 90 degrees two-theta), by angle:
h k l  Position (°2θ)  intensity
2 2 0  24.6  513
3 1 0  27.6  375
1 2 1  30.9  1000
3 0 1  35.7  865
2 4 0  39.4  451
4 1 1  43.8  604
0 0 2  48.8  231
3 4 1  50.9  357
5 3 0  52.2  225
7 1 0  64.5  329
2 7 1  71.8  244
6 5 1  77.3  209

Atomic structure:
```
data_Ti5Te4
_chemical_formula_sum 'Ti10 Te8'
_cell_length_a 10.2208
_cell_length_b 10.2208
_cell_length_c 3.7325
_cell_angle_alpha 90.00
_cell_angle_beta 90.00
_cell_angle_gamma 90.00
_symmetry_space_group_name_H-M 'I 4/m'
_symmetry_Int_Tables_number 87
_symmetry_space_group_name_Hall '-I 4'
loop_
_atom_site_label
_atom_site_type_symbol
_atom_site_fract_x
_atom_site_fract_y
_atom_site_fract_z
Ti1 Ti 0.0000 0.0000 0.0000
Ti2 Ti 0.1230 0.1861 0.5000
Te1 Te 0.0577 0.7202 0.0000
```